The following is a computed XRD peak list of K2TaNbO6. It was derived from a GGA-PBE-relaxed structure, using Cu Kα (λ = 1.5418 Å).
Intensities are scaled so that the largest is 100.

Structure:
```
data_K2TaNbO6
_chemical_formula_sum 'K8 Ta4 Nb4 O24'
_cell_length_a 8.0889
_cell_length_b 8.0889
_cell_length_c 8.0889
_cell_angle_alpha 90.00
_cell_angle_beta 90.00
_cell_angle_gamma 90.00
_symmetry_space_group_name_H-M 'F m -3 m'
_symmetry_Int_Tables_number 225
_symmetry_space_group_name_Hall '-F 4 2 3'
loop_
_atom_site_label
_atom_site_type_symbol
_atom_site_fract_x
_atom_site_fract_y
_atom_site_fract_z
K1 K 0.2500 0.2500 0.2500
Ta1 Ta 0.0000 0.0000 0.0000
Nb1 Nb 0.0000 0.0000 0.5000
O1 O 0.0000 0.0000 0.2490
```

Largest 12 diffraction maxima, sorted by position, 2θ from 10° to 80°:
d 4.670, intensity 14, (1 1 1)
d 4.044, intensity 60, (2 0 0)
d 2.860, intensity 100, (2 2 0)
d 2.439, intensity 8, (3 1 1)
d 2.335, intensity 3, (2 2 2)
d 2.022, intensity 35, (4 0 0)
d 1.856, intensity 4, (3 3 1)
d 1.809, intensity 26, (4 2 0)
d 1.651, intensity 39, (4 2 2)
d 1.430, intensity 21, (4 4 0)
d 1.348, intensity 12, (6 0 0)
d 1.279, intensity 17, (6 2 0)